Diffraction record for KCeS2. The XRD peak list is theoretical, not measured: it uses a DFT-relaxed cell (GGA-PBE, the Materials Project) and a wavelength of 1.5418 Å.

Main lines, low angle first (10 to 90 degrees two-theta):
2θ (°), I_rel
12.01, 60.4
24.69, 21.2
25.68, 29.9
29.30, 100.0
37.64, 16.4
40.94, 34.6
42.86, 34.7
44.68, 14.6
52.77, 17.7
70.24, 14.6

Cell and atoms:
```
4
Lattice="2.110 1.218 7.369 -2.110 1.218 7.369 0.000 -2.436 7.369" Properties=species:S:1:pos:R:3 pbc="T T T"
K 0.000 0.000 0.000
Ce 0.000 0.000 11.054
S 0.000 0.000 5.203
S 0.000 0.000 16.906
```